1.
Ac4Nd2Sm5: calculated powder diffractogram (CuKα), based on a DFT-relaxed cell (PBE, Alexandria).

Structure:
```
data_Ac4Nd2Sm5
_chemical_formula_sum 'Ac8 Nd4 Sm10'
_cell_length_a 19.1506
_cell_length_b 5.3714
_cell_length_c 8.3579
_cell_angle_alpha 90.00
_cell_angle_beta 104.21
_cell_angle_gamma 90.00
_symmetry_space_group_name_H-M 'C 1 2/m 1'
_symmetry_Int_Tables_number 12
loop_
_symmetry_equiv_pos_as_xyz
'x,y,z'
'-x,-y,-z'
'-x,y,-z'
'x,-y,z'
'x+1/2,y+1/2,z'
'-x+1/2,-y+1/2,-z'
'-x+1/2,y+1/2,-z'
'x+1/2,-y+1/2,z'
loop_
_atom_site_label
_atom_site_type_symbol
_atom_site_fract_x
_atom_site_fract_y
_atom_site_fract_z
_atom_site_occupancy
Ac1 Ac 0.0442 0.0000 0.2305 1
Ac2 Ac 0.1822 0.5000 0.4108 1
Nd1 Nd 0.0923 0.5000 0.9498 1
Sm1 Sm 0.0000 0.5000 0.5000 1
Sm2 Sm 0.1388 0.0000 0.6917 1
Sm3 Sm 0.2263 0.0000 0.1265 1
```

Top 10 peaks for 10 to 80 degrees two-theta, sorted by position:
hkl 1 1 2, 3.086 Å, 2θ 28.9, rel. 100; hkl 5 1 -1, 3.070 Å, 2θ 29.1, rel. 99; hkl 0 2 0, 2.683 Å, 2θ 33.4, rel. 69; hkl 4 0 -3, 2.632 Å, 2θ 34.1, rel. 32; hkl 6 2 1, 1.897 Å, 2θ 48.0, rel. 25; hkl 4 2 -3, 1.880 Å, 2θ 48.4, rel. 25; hkl 5 3 -1, 1.616 Å, 2θ 57.0, rel. 45; hkl 11 1 0, 1.610 Å, 2θ 57.2, rel. 15; hkl 3 1 -5, 1.596 Å, 2θ 57.8, rel. 14; hkl 9 1 -4, 1.589 Å, 2θ 58.0, rel. 14

---

2.
Ta3Mo5: calculated powder diffractogram (CuKα), based on a DFT-relaxed cell (PBE, Alexandria).

Structure:
```
data_Ta3Mo5
_chemical_formula_sum 'Ta3 Mo5'
_cell_length_a 3.2166
_cell_length_b 4.5280
_cell_length_c 9.1205
_cell_angle_alpha 90.00
_cell_angle_beta 90.00
_cell_angle_gamma 90.00
_symmetry_space_group_name_H-M 'P m m 2'
_symmetry_Int_Tables_number 25
loop_
_symmetry_equiv_pos_as_xyz
'x,y,z'
'-x,-y,z'
'-x,y,z'
'x,-y,z'
loop_
_atom_site_label
_atom_site_type_symbol
_atom_site_fract_x
_atom_site_fract_y
_atom_site_fract_z
_atom_site_occupancy
Ta1 Ta 0.0000 0.0000 0.0000 1
Ta2 Ta 0.0000 0.5000 0.2461 1
Ta3 Ta 0.5000 0.0000 0.7396 1
Mo1 Mo 0.0000 0.0000 0.4909 1
Mo2 Mo 0.0000 0.5000 0.7435 1
Mo3 Mo 0.5000 0.0000 0.2514 1
Mo4 Mo 0.5000 0.5000 0.4993 1
Mo5 Mo 0.5000 0.5000 0.9914 1
```

Top 10 peaks for 10 to 80 degrees two-theta, sorted by position:
hkl 0 1 1, 4.056 Å, 2θ 21.9, rel. 6; hkl 1 0 1, 3.035 Å, 2θ 29.4, rel. 5; hkl 0 1 3, 2.523 Å, 2θ 35.6, rel. 4; hkl 0 0 4, 2.280 Å, 2θ 39.5, rel. 25; hkl 1 1 2, 2.273 Å, 2θ 39.6, rel. 100; hkl 0 2 0, 2.264 Å, 2θ 39.8, rel. 25; hkl 2 0 0, 1.607 Å, 2θ 57.3, rel. 25; hkl 2 0 4, 1.315 Å, 2θ 71.8, rel. 25; hkl 2 2 0, 1.311 Å, 2θ 72.0, rel. 9; hkl 1 3 2, 1.309 Å, 2θ 72.2, rel. 17

---

3.
V5Tc4Ir: calculated powder diffractogram (CuKα), based on a DFT-relaxed cell (PBE, Alexandria).

Structure:
```
data_V5Tc4Ir
_chemical_formula_sum 'V5 Tc4 Ir1'
_cell_length_a 3.0244
_cell_length_b 3.0244
_cell_length_c 15.1792
_cell_angle_alpha 90.00
_cell_angle_beta 90.00
_cell_angle_gamma 90.00
_symmetry_space_group_name_H-M 'P 4/m m m'
_symmetry_Int_Tables_number 123
_symmetry_space_group_name_Hall '-P 4 2'
loop_
_atom_site_label
_atom_site_type_symbol
_atom_site_fract_x
_atom_site_fract_y
_atom_site_fract_z
_atom_site_occupancy
V1 V 0.0000 0.0000 0.0000 1
V2 V 0.0000 0.0000 0.1984 1
V3 V 0.0000 0.0000 0.3931 1
Tc1 Tc 0.5000 0.5000 0.0998 1
Tc2 Tc 0.5000 0.5000 0.2997 1
Ir1 Ir 0.5000 0.5000 0.5000 1
```

Top 10 peaks for 10 to 80 degrees two-theta, sorted by position:
hkl 0 0 2, 7.590 Å, 2θ 11.7, rel. 3; hkl 0 0 5, 3.036 Å, 2θ 29.4, rel. 7; hkl 1 0 0, 3.024 Å, 2θ 29.5, rel. 14; hkl 1 1 0, 2.141 Å, 2θ 42.2, rel. 100; hkl 1 1 5, 1.748 Å, 2θ 52.3, rel. 6; hkl 0 0 10, 1.518 Å, 2θ 61.0, rel. 5; hkl 2 0 0, 1.512 Å, 2θ 61.3, rel. 11; hkl 2 0 5, 1.353 Å, 2θ 69.5, rel. 6; hkl 1 1 10, 1.238 Å, 2θ 77.0, rel. 10; hkl 2 1 5, 1.235 Å, 2θ 77.2, rel. 21

---

Which formula does entry 1 have? Ac4Nd2Sm5